Record 1
Calculated powder diffractogram of Cs2ReCl3O3 for Cu Kα, from a GGA-PBE-relaxed structure.

Lattice parameters (Å, degrees): 10.594 6.897 12.462 90.00 90.00 90.00
Space group Pnma (No. 62)
Inequivalent atoms, fractional coordinates:
1 Cs 0.034 0.250 0.181 (multiplicity 4)
2 Cs 0.156 0.750 0.411 (multiplicity 4)
3 Re 0.188 0.750 0.066 (multiplicity 4)
4 Cl 0.120 0.250 0.445 (multiplicity 4)
5 Cl 0.176 0.018 0.669 (multiplicity 8)
6 O 0.084 0.750 0.175 (multiplicity 4)
7 O 0.133 0.551 0.992 (multiplicity 8)

Most intense lines, 2θ = 10–80°, by angle:
- 2θ = 22.33°, 3.981 Å, I = 99, hkl 2 1 1
- 2θ = 25.02°, 3.559 Å, I = 100, hkl 0 1 3
- 2θ = 25.83°, 3.449 Å, I = 81, hkl 0 2 0
- 2θ = 27.28°, 3.269 Å, I = 58, hkl 2 0 3
- 2θ = 31.78°, 2.815 Å, I = 70, hkl 2 2 1
- 2θ = 36.34°, 2.472 Å, I = 54, hkl 4 1 0

---

Record 2
Calculated powder diffractogram of Nb3Fe20B6 for Cu Kα, from a GGA-PBE-relaxed structure.

Lattice parameters (Å, degrees): 10.715 10.715 10.715 90.00 90.00 90.00
Space group Fm-3m (No. 225)
Inequivalent atoms, fractional coordinates:
1 Nb 0.000 0.000 0.000 (multiplicity 4)
2 Nb 0.250 0.250 0.250 (multiplicity 8)
3 Fe 0.000 0.173 0.173 (multiplicity 48)
4 Fe 0.116 0.116 0.384 (multiplicity 32)
5 B 0.000 0.000 0.271 (multiplicity 24)

Most intense lines, 2θ = 10–80°, by angle:
- 2θ = 37.54°, 2.396 Å, I = 28, hkl 4 2 0
- 2θ = 41.28°, 2.187 Å, I = 43, hkl 4 2 2
- 2θ = 43.91°, 2.062 Å, I = 100, hkl 3 3 3
- 2θ = 48.03°, 1.894 Å, I = 29, hkl 4 4 0
- 2θ = 50.38°, 1.811 Å, I = 19, hkl 5 3 1
- 2θ = 75.25°, 1.263 Å, I = 28, hkl 6 6 0

---

Record 3
Calculated powder diffractogram of HoTm3Sc2Sb2Os for Cu Kα, from a GGA-PBE-relaxed structure.

Lattice parameters (Å, degrees): 4.093 13.888 7.950 90.00 90.00 90.00
Space group Amm2 (No. 38)
Inequivalent atoms, fractional coordinates:
1 Ho 0.000 0.000 0.000 (multiplicity 2)
2 Tm 0.500 0.000 0.635 (multiplicity 2)
3 Tm 0.500 0.120 0.274 (multiplicity 4)
4 Sc 0.000 0.194 0.586 (multiplicity 4)
5 Sb 0.500 0.170 0.891 (multiplicity 4)
6 Os 0.000 0.000 0.397 (multiplicity 2)

Most intense lines, 2θ = 10–80°, by angle:
- 2θ = 12.77°, 6.931 Å, I = 100, hkl 0 2 0
- 2θ = 31.26°, 2.861 Å, I = 74, hkl 1 3 1
- 2θ = 33.85°, 2.648 Å, I = 51, hkl 1 4 0
- 2θ = 33.98°, 2.638 Å, I = 86, hkl 1 2 2
- 2θ = 34.25°, 2.618 Å, I = 57, hkl 0 4 2
- 2θ = 40.91°, 2.206 Å, I = 92, hkl 1 5 1

---

Record 4
Calculated powder diffractogram of RbSmI3 for Cu Kα, from a GGA-PBE-relaxed structure.

Lattice parameters (Å, degrees): 10.429 4.399 18.150 90.00 90.00 90.00
Space group Pnma (No. 62)
Inequivalent atoms, fractional coordinates:
1 Rb 0.074 0.250 0.176 (multiplicity 4)
2 Sm 0.130 0.750 0.457 (multiplicity 4)
3 I 0.045 0.750 0.625 (multiplicity 4)
4 I 0.168 0.750 0.008 (multiplicity 4)
5 I 0.220 0.250 0.804 (multiplicity 4)

Most intense lines, 2θ = 10–80°, by angle:
- 2θ = 26.01°, 3.425 Å, I = 56, hkl 2 0 4
- 2θ = 26.48°, 3.366 Å, I = 75, hkl 2 1 0
- 2θ = 26.97°, 3.306 Å, I = 65, hkl 2 1 1
- 2θ = 28.31°, 3.153 Å, I = 100, hkl 2 1 2
- 2θ = 31.97°, 2.800 Å, I = 36, hkl 0 1 5
- 2θ = 41.04°, 2.199 Å, I = 35, hkl 0 2 0